[1]
The following is a theoretical powder diffractogram of Ba2Sr4Rh. It was derived from a DFT-relaxed cell (GGA-PBE, Alexandria), using CuKα.
No peak broadening, texture or thermal motion is included.

abc: 7.8464 4.1849 11.2318
angles: 90.00 106.04 90.00
Fractional positions:
Ba 0.2438 0.0000 0.4914
Ba 0.7562 0.0000 0.5086
Sr 0.1395 0.5000 0.8293
Sr 0.3824 0.0000 0.1461
Sr 0.6176 0.0000 0.8540
Sr 0.8605 0.5000 0.1707
Rh 0.5000 0.5000 0.0000

Most intense lines, 2θ = 10–90°, low angle first:
- 3.902 Å, 2θ = 22.8°, intensity 69
- 3.595 Å, 2θ = 24.8°, intensity 100
- 3.288 Å, 2θ = 27.1°, intensity 75
- 3.237 Å, 2θ = 27.6°, intensity 57
- 2.757 Å, 2θ = 32.5°, intensity 40
- 2.727 Å, 2θ = 32.8°, intensity 63


[2]
The following is a theoretical powder diffractogram of Pa2HS4. It was derived from a DFT-relaxed cell (GGA-PBE, Alexandria), using CuKα.
No peak broadening, texture or thermal motion is included.

abc: 5.4217 7.6294 7.2944
angles: 90.00 108.91 90.00
Fractional positions:
Pa 0.1007 0.2500 0.0215
Pa 0.1476 0.2500 0.5381
Pa 0.8524 0.7500 0.4619
Pa 0.8993 0.7500 0.9785
H 0.4377 0.7500 0.8023
H 0.5623 0.2500 0.1977
S 0.0089 0.0005 0.2554
S 0.0089 0.4995 0.2554
S 0.4278 0.7500 0.6050
S 0.4583 0.7500 0.1065
S 0.5417 0.2500 0.8935
S 0.5722 0.2500 0.3950
S 0.9911 0.5005 0.7446
S 0.9911 0.9995 0.7446

Most intense lines, 2θ = 10–90°, low angle first:
- 5.129 Å, 2θ = 17.3°, intensity 96
- 4.257 Å, 2θ = 20.9°, intensity 100
- 3.815 Å, 2θ = 23.3°, intensity 95
- 2.559 Å, 2θ = 35.1°, intensity 85
- 2.547 Å, 2θ = 35.2°, intensity 79
- 2.431 Å, 2θ = 37.0°, intensity 65


[3]
The following is a theoretical powder diffractogram of Na4Tb3ThTe8. It was derived from a DFT-relaxed cell (GGA-PBE, Alexandria), using CuKα.
No peak broadening, texture or thermal motion is included.

abc: 9.1776 9.1776 9.1776
angles: 57.73 57.73 57.73
Fractional positions:
Na 0.0000 0.0000 0.0000
Na 0.0000 0.5000 0.5000
Na 0.5000 0.0000 0.5000
Na 0.5000 0.5000 0.0000
Tb 0.0000 0.0000 0.5000
Tb 0.0000 0.5000 0.0000
Tb 0.5000 0.0000 0.0000
Th 0.5000 0.5000 0.5000
Te 0.2427 0.7474 0.7474
Te 0.2446 0.2446 0.2446
Te 0.2526 0.2526 0.7573
Te 0.2526 0.7573 0.2526
Te 0.7474 0.2427 0.7474
Te 0.7474 0.7474 0.2427
Te 0.7554 0.7554 0.7554
Te 0.7573 0.2526 0.2526

Most intense lines, 2θ = 10–90°, low angle first:
- 7.620 Å, 2θ = 11.6°, intensity 36
- 3.185 Å, 2θ = 28.0°, intensity 100
- 2.292 Å, 2θ = 39.3°, intensity 39
- 2.215 Å, 2θ = 40.7°, intensity 37
- 1.819 Å, 2θ = 50.2°, intensity 20
- 1.444 Å, 2θ = 64.5°, intensity 17


[4]
The following is a theoretical powder diffractogram of Pr2NdCd6. It was derived from a DFT-relaxed cell (GGA-PBE, Alexandria), using CuKα.
No peak broadening, texture or thermal motion is included.

abc: 8.8400 8.8400 3.4796
angles: 90.00 90.00 120.00
Fractional positions:
Pr 0.3333 0.6667 0.0000
Pr 0.6667 0.3333 0.0000
Nd 0.0000 0.0000 0.0000
Cd 0.0000 0.3326 0.5000
Cd 0.0000 0.6674 0.5000
Cd 0.3326 0.0000 0.5000
Cd 0.3326 0.3326 0.5000
Cd 0.6674 0.0000 0.5000
Cd 0.6674 0.6674 0.5000

Most intense lines, 2θ = 10–90°, low angle first:
- 2.734 Å, 2θ = 32.8°, intensity 100
- 2.552 Å, 2θ = 35.2°, intensity 86
- 1.866 Å, 2θ = 48.8°, intensity 32
- 1.506 Å, 2θ = 61.6°, intensity 31
- 1.473 Å, 2θ = 63.1°, intensity 15
- 1.438 Å, 2θ = 64.9°, intensity 28


[5]
The following is a theoretical powder diffractogram of Ba2Ac3Te6. It was derived from a DFT-relaxed cell (GGA-PBE, Alexandria), using CuKα.
No peak broadening, texture or thermal motion is included.

abc: 8.3164 8.3164 8.5570
angles: 99.28 99.28 119.94
Fractional positions:
Ba 0.1674 0.8326 0.0000
Ba 0.8326 0.1674 0.0000
Ac 0.0000 0.0000 0.5000
Ac 0.3351 0.6649 0.5000
Ac 0.6649 0.3351 0.5000
Te 0.0759 0.4105 0.7327
Te 0.2540 0.2540 0.2640
Te 0.4105 0.0759 0.7327
Te 0.5895 0.9241 0.2673
Te 0.7460 0.7460 0.7360
Te 0.9241 0.5895 0.2673

Most intense lines, 2θ = 10–90°, low angle first:
- 8.101 Å, 2θ = 10.9°, intensity 18
- 3.432 Å, 2θ = 26.0°, intensity 100
- 2.453 Å, 2θ = 36.6°, intensity 40
- 2.401 Å, 2θ = 37.5°, intensity 39
- 1.966 Å, 2θ = 46.2°, intensity 14
- 1.522 Å, 2θ = 60.9°, intensity 19


[6]
The following is a theoretical powder diffractogram of HoSi3Pt5. It was derived from a DFT-relaxed cell (GGA-PBE, Alexandria), using CuKα.
No peak broadening, texture or thermal motion is included.

abc: 6.5354 6.5354 12.9888
angles: 90.00 90.00 145.94
Fractional positions:
Ho 0.1541 0.8459 0.7500
Ho 0.8459 0.1541 0.2500
Si 0.1109 0.8891 0.2500
Si 0.3807 0.6193 0.0345
Si 0.3807 0.6193 0.4655
Si 0.6193 0.3807 0.5345
Si 0.6193 0.3807 0.9655
Si 0.8891 0.1109 0.7500
Pt 0.0000 0.0000 0.0000
Pt 0.0000 0.0000 0.5000
Pt 0.2069 0.7931 0.0877
Pt 0.2069 0.7931 0.4123
Pt 0.4643 0.5357 0.6485
Pt 0.4643 0.5357 0.8515
Pt 0.5357 0.4643 0.1485
Pt 0.5357 0.4643 0.3515
Pt 0.7931 0.2069 0.5877
Pt 0.7931 0.2069 0.9123

Most intense lines, 2θ = 10–90°, low angle first:
- 3.559 Å, 2θ = 25.0°, intensity 47
- 2.818 Å, 2θ = 31.8°, intensity 81
- 2.795 Å, 2θ = 32.0°, intensity 100
- 2.429 Å, 2θ = 37.0°, intensity 83
- 2.046 Å, 2θ = 44.3°, intensity 63
- 1.914 Å, 2θ = 47.5°, intensity 54


[7]
The following is a theoretical powder diffractogram of Li3In5. It was derived from a DFT-relaxed cell (GGA-PBE, Alexandria), using CuKα.
No peak broadening, texture or thermal motion is included.

abc: 6.3408 6.3408 4.3753
angles: 90.00 90.00 90.29
Fractional positions:
Li 0.0000 0.0000 0.0000
Li 0.2622 0.7378 0.5000
Li 0.7378 0.2622 0.5000
In 0.0000 0.5000 0.0000
In 0.2266 0.2266 0.5000
In 0.5000 0.0000 0.0000
In 0.5000 0.5000 0.0000
In 0.7734 0.7734 0.5000

Most intense lines, 2θ = 10–90°, low angle first:
- 4.472 Å, 2θ = 19.9°, intensity 32
- 3.135 Å, 2θ = 28.5°, intensity 30
- 2.567 Å, 2θ = 35.0°, intensity 100
- 2.247 Å, 2θ = 40.1°, intensity 18
- 2.236 Å, 2θ = 40.3°, intensity 15
- 2.188 Å, 2θ = 41.3°, intensity 16


[8]
The following is a theoretical powder diffractogram of DyPa2P4. It was derived from a DFT-relaxed cell (GGA-PBE, Alexandria), using CuKα.
No peak broadening, texture or thermal motion is included.

abc: 6.9284 6.9284 12.6621
angles: 90.00 90.00 146.90
Fractional positions:
Dy 0.1160 0.8840 0.7500
Dy 0.8840 0.1160 0.2500
Pa 0.3695 0.6305 0.5666
Pa 0.3695 0.6305 0.9334
Pa 0.6305 0.3695 0.0666
Pa 0.6305 0.3695 0.4334
P 0.0000 0.0000 0.0000
P 0.0000 0.0000 0.5000
P 0.2670 0.7330 0.1247
P 0.2670 0.7330 0.3753
P 0.4683 0.5317 0.7500
P 0.5317 0.4683 0.2500
P 0.7330 0.2670 0.6247
P 0.7330 0.2670 0.8753

Most intense lines, 2θ = 10–90°, low angle first:
- 3.562 Å, 2θ = 25.0°, intensity 100
- 3.321 Å, 2θ = 26.8°, intensity 32
- 3.248 Å, 2θ = 27.5°, intensity 34
- 2.870 Å, 2θ = 31.2°, intensity 34
- 2.671 Å, 2θ = 33.5°, intensity 44
- 2.105 Å, 2θ = 43.0°, intensity 29


[9]
The following is a theoretical powder diffractogram of SrAcTe2F. It was derived from a DFT-relaxed cell (GGA-PBE, Alexandria), using CuKα.
No peak broadening, texture or thermal motion is included.

abc: 4.5660 4.5660 16.1754
angles: 90.00 90.00 90.00
Fractional positions:
Sr 0.2500 0.2500 0.0752
Sr 0.7500 0.7500 0.9248
Ac 0.2500 0.2500 0.6363
Ac 0.7500 0.7500 0.3637
Te 0.2500 0.2500 0.4125
Te 0.2500 0.2500 0.8264
Te 0.7500 0.7500 0.1736
Te 0.7500 0.7500 0.5875
F 0.2500 0.7500 0.0000
F 0.7500 0.2500 0.0000

Most intense lines, 2θ = 10–90°, low angle first:
- 4.394 Å, 2θ = 20.2°, intensity 39
- 3.229 Å, 2θ = 27.6°, intensity 100
- 2.640 Å, 2θ = 34.0°, intensity 59
- 2.523 Å, 2θ = 35.6°, intensity 45
- 2.283 Å, 2θ = 39.5°, intensity 51
- 1.727 Å, 2θ = 53.0°, intensity 34


[10]
The following is a theoretical powder diffractogram of Nd4AgI5. It was derived from a DFT-relaxed cell (GGA-PBE, Alexandria), using CuKα.
No peak broadening, texture or thermal motion is included.

abc: 9.9639 9.9639 9.2957
angles: 101.42 101.42 24.69
Fractional positions:
Nd 0.0016 0.0016 0.2216
Nd 0.3420 0.3420 0.9280
Nd 0.6580 0.6580 0.0720
Nd 0.9984 0.9984 0.7784
Ag 0.5000 0.5000 0.0000
I 0.1685 0.1685 0.3354
I 0.1711 0.1711 0.8142
I 0.5000 0.5000 0.5000
I 0.8289 0.8289 0.1858
I 0.8315 0.8315 0.6646

Most intense lines, 2θ = 10–90°, low angle first:
- 3.177 Å, 2θ = 28.1°, intensity 60
- 3.140 Å, 2θ = 28.4°, intensity 100
- 2.322 Å, 2θ = 38.8°, intensity 20
- 2.262 Å, 2θ = 39.9°, intensity 39
- 2.206 Å, 2θ = 40.9°, intensity 36
- 1.769 Å, 2θ = 51.7°, intensity 19


[11]
The following is a theoretical powder diffractogram of BaCe2Ge6. It was derived from a DFT-relaxed cell (GGA-PBE, Alexandria), using CuKα.
No peak broadening, texture or thermal motion is included.

abc: 7.9834 7.9834 4.2474
angles: 105.36 105.36 67.74
Fractional positions:
Ba 0.0000 0.0000 0.0000
Ce 0.3589 0.3589 0.8591
Ce 0.6431 0.6431 0.1430
Ge 0.0457 0.5790 0.3124
Ge 0.3370 0.6650 0.5010
Ge 0.4224 0.9565 0.6895
Ge 0.5790 0.0457 0.3124
Ge 0.6650 0.3370 0.5010
Ge 0.9565 0.4224 0.6895

Most intense lines, 2θ = 10–90°, low angle first:
- 3.272 Å, 2θ = 27.3°, intensity 45
- 2.984 Å, 2θ = 29.9°, intensity 100
- 2.430 Å, 2θ = 37.0°, intensity 55
- 2.420 Å, 2θ = 37.1°, intensity 47
- 2.124 Å, 2θ = 42.6°, intensity 30
- 1.946 Å, 2θ = 46.7°, intensity 30


[12]
The following is a theoretical powder diffractogram of Ca2PmTe3. It was derived from a DFT-relaxed cell (GGA-PBE, Alexandria), using CuKα.
No peak broadening, texture or thermal motion is included.

abc: 7.7999 7.7999 7.7999
angles: 146.71 131.87 59.78
Fractional positions:
Ca 0.1672 0.1672 0.0000
Ca 0.8328 0.8328 0.0000
Pm 0.5000 0.5000 0.0000
Te 0.0000 0.5000 0.5000
Te 0.3325 0.8325 0.5000
Te 0.6675 0.1675 0.5000

Most intense lines, 2θ = 10–90°, low angle first:
- 3.176 Å, 2θ = 28.1°, intensity 100
- 2.254 Å, 2θ = 40.0°, intensity 13
- 2.247 Å, 2θ = 40.1°, intensity 50
- 1.839 Å, 2θ = 49.6°, intensity 14
- 1.828 Å, 2θ = 49.9°, intensity 13
- 1.421 Å, 2θ = 65.7°, intensity 23


[13]
The following is a theoretical powder diffractogram of AcTm5In4. It was derived from a DFT-relaxed cell (GGA-PBE, Alexandria), using CuKα.
No peak broadening, texture or thermal motion is included.

abc: 3.7006 3.7006 20.4003
angles: 90.00 90.00 90.00
Fractional positions:
Ac 0.0000 0.0000 0.0000
Tm 0.5000 0.5000 0.1293
Tm 0.5000 0.5000 0.3161
Tm 0.5000 0.5000 0.5000
Tm 0.5000 0.5000 0.6839
Tm 0.5000 0.5000 0.8707
In 0.0000 0.0000 0.2221
In 0.0000 0.0000 0.4081
In 0.0000 0.0000 0.5919
In 0.0000 0.0000 0.7779

Most intense lines, 2θ = 10–90°, low angle first:
- 2.995 Å, 2θ = 29.8°, intensity 14
- 2.741 Å, 2θ = 32.7°, intensity 100
- 2.617 Å, 2θ = 34.3°, intensity 62
- 2.504 Å, 2θ = 35.9°, intensity 17
- 1.850 Å, 2θ = 49.2°, intensity 22
- 1.534 Å, 2θ = 60.4°, intensity 34